1.
AcPm4Pr6: simulated powder diffractogram (Cu Kα (weighted mean of Kα1 and Kα2)), based on a structure optimized by DFT (GGA-PBE).

Peak list (8 most intense, 2θ from 5° to 70°, most intense first)
2θ/deg, I_rel
31.5, 100
30.9, 37
53.3, 23
60.1, 22
29.2, 22
50.0, 19
22.5, 16
31.3, 14

Cell and atoms:
```
22
Lattice="11.589 0.000 0.000 0.000 11.589 0.000 0.000 0.000 6.108" Properties=species:S:1:pos:R:3 pbc="T T T"
Ac 2.897 8.692 1.527
Ac 8.692 2.897 4.581
Pm 0.460 8.692 4.538
Pm 2.897 6.254 4.625
Pm 2.897 11.129 4.625
Pm 5.335 8.692 4.538
Pm 6.254 2.897 1.571
Pm 8.692 0.460 1.484
Pm 8.692 5.335 1.484
Pm 11.129 2.897 1.571
Pr 0.504 6.299 1.527
Pr 0.504 11.085 1.527
Pr 2.897 2.897 2.544
Pr 2.897 2.897 5.599
Pr 5.290 6.299 1.527
Pr 5.290 11.085 1.527
Pr 6.299 0.504 4.581
Pr 6.299 5.290 4.581
Pr 8.692 8.692 0.510
Pr 8.692 8.692 3.564
Pr 11.085 0.504 4.581
Pr 11.085 5.290 4.581
```


2.
Ac12PmPr5: simulated powder diffractogram (Cu Kα (weighted mean of Kα1 and Kα2)), based on a structure optimized by DFT (GGA-PBE).

Peak list (8 most intense, 2θ from 5° to 70°, most intense first)
2θ/deg, I_rel
28.0, 100
32.3, 35
55.0, 31
46.6, 25
32.7, 17
55.5, 15
57.9, 14
46.4, 13

Cell and atoms:
```
18
Lattice="10.106 -5.871 0.000 10.106 5.871 0.000 -2.172 0.000 6.376" Properties=species:S:1:pos:R:3 pbc="T T T"
Ac 2.272 1.925 3.187
Ac 10.106 3.949 0.000
Ac 4.565 1.929 6.373
Ac 2.272 -1.925 3.187
Ac 9.014 1.934 3.188
Ac 4.565 -1.929 6.373
Ac 13.474 1.928 0.002
Ac 9.014 -1.934 3.188
Ac 15.757 1.926 3.189
Ac 13.474 -1.928 0.002
Ac 10.106 -3.949 0.000
Ac 15.757 -1.926 3.189
Pm 19.120 0.000 3.187
Pr 1.194 0.000 6.370
Pr 5.646 0.000 3.185
Pr 10.106 0.000 0.001
Pr 12.383 0.000 3.188
Pr 16.846 0.000 0.007
```


3.
Ac8Pm3Pr3: simulated powder diffractogram (Cu Kα (weighted mean of Kα1 and Kα2)), based on a structure optimized by DFT (GGA-PBE).

Peak list (8 most intense, 2θ from 5° to 70°, most intense first)
2θ/deg, I_rel
29.7, 100
28.9, 41
29.9, 26
28.7, 18
28.2, 13
21.1, 13
50.1, 12
28.0, 12

Cell and atoms:
```
14
Lattice="6.923 -6.872 0.000 6.923 6.872 0.000 -1.816 0.000 6.183" Properties=species:S:1:pos:R:3 pbc="T T T"
Ac 3.399 3.557 5.901
Ac 4.016 1.800 2.757
Ac 8.630 3.557 0.282
Ac 4.016 -1.800 2.757
Ac 8.013 1.800 3.426
Ac 3.399 -3.557 5.901
Ac 8.013 -1.800 3.426
Ac 8.630 -3.557 0.282
Pm 0.000 0.000 0.000
Pm 6.014 5.043 3.091
Pm 6.014 -5.043 3.091
Pr 1.638 0.000 5.286
Pr 6.923 0.000 0.000
Pr 10.391 0.000 0.896
```


4.
Ac2Pm7Pr4: simulated powder diffractogram (Cu Kα (weighted mean of Kα1 and Kα2)), based on a structure optimized by DFT (GGA-PBE).

Peak list (8 most intense, 2θ from 5° to 70°, most intense first)
2θ/deg, I_rel
31.0, 100
28.7, 29
34.4, 29
49.5, 24
26.2, 20
28.0, 16
49.4, 16
6.5, 14

Cell and atoms:
```
13
Lattice="6.382 0.000 0.000 -3.191 5.527 0.000 0.000 0.000 13.584" Properties=species:S:1:pos:R:3 pbc="T T T"
Ac 0.000 3.684 0.000
Ac 3.191 1.842 0.000
Pm 0.000 0.000 0.000
Pm -1.170 2.026 10.572
Pm -2.021 3.501 3.012
Pm 2.339 0.000 10.572
Pm 1.170 2.026 3.012
Pm 4.043 0.000 3.012
Pm 2.021 3.501 10.572
Pr 0.000 0.000 5.318
Pr 0.000 0.000 8.266
Pr 0.000 3.684 6.792
Pr 3.191 1.842 6.792
```


5.
Ac2Pm5Pr5: simulated powder diffractogram (Cu Kα (weighted mean of Kα1 and Kα2)), based on a structure optimized by DFT (GGA-PBE).

Peak list (8 most intense, 2θ from 5° to 70°, most intense first)
2θ/deg, I_rel
29.3, 100
34.0, 51
48.8, 37
57.9, 29
58.0, 15
60.8, 13
22.6, 1
17.9, 1

Cell and atoms:
```
12
Lattice="7.930 -2.636 0.000 7.930 2.636 0.000 -5.295 0.000 10.570" Properties=species:S:1:pos:R:3 pbc="T T T"
Ac -0.011 0.000 2.641
Ac 10.575 0.000 7.929
Pm 2.654 0.000 5.272
Pm 5.247 0.000 2.642
Pm 7.930 0.000 0.000
Pm 5.318 0.000 7.928
Pm 7.910 0.000 5.298
Pr -2.648 0.000 5.285
Pr 2.668 0.000 0.005
Pr -0.056 0.000 7.903
Pr 10.621 0.000 2.667
Pr 7.897 0.000 10.565
```


6.
Ac3Pm3Pr2: simulated powder diffractogram (Cu Kα (weighted mean of Kα1 and Kα2)), based on a structure optimized by DFT (GGA-PBE).

Peak list (8 most intense, 2θ from 5° to 70°, most intense first)
2θ/deg, I_rel
28.8, 100
33.2, 35
48.2, 25
33.9, 16
56.6, 15
56.7, 15
57.6, 15
59.7, 13

Cell and atoms:
```
16
Lattice="5.292 0.000 0.000 0.000 5.406 0.000 0.000 0.000 21.565" Properties=species:S:1:pos:R:3 pbc="T T T"
Ac 0.000 0.000 0.000
Ac 0.000 2.703 2.712
Ac 0.000 2.703 18.853
Ac 2.646 0.000 8.071
Ac 2.646 0.000 13.494
Ac 2.646 2.703 10.782
Pm 0.000 0.000 10.782
Pm 0.000 2.703 8.022
Pm 0.000 2.703 13.543
Pm 2.646 0.000 2.760
Pm 2.646 0.000 18.805
Pm 2.646 2.703 0.000
Pr 0.000 0.000 5.365
Pr 0.000 0.000 16.200
Pr 2.646 2.703 5.417
Pr 2.646 2.703 16.148
```